(1)
Diffraction record for Ho2InGa2Ni5. The X-ray diffraction stick pattern is calculated, not measured: it uses a DFT-relaxed cell (PBE, Alexandria) and a wavelength of 1.5418 Å.
Intensities are scaled so that the largest is 100.

```
data_Ho2InGa2Ni5
_chemical_formula_sum 'Ho4 In2 Ga4 Ni10'
_cell_length_a 9.4927
_cell_length_b 9.4927
_cell_length_c 3.5720
_cell_angle_alpha 90.00
_cell_angle_beta 90.00
_cell_angle_gamma 90.00
_space_group_name_H-M_alt 'P 1'
_space_group_IT_number 1
loop_
_space_group_symop_operation_xyz
'x,y,z'
loop_
_atom_site_label
_atom_site_type_symbol
_atom_site_fract_x
_atom_site_fract_y
_atom_site_fract_z
Ho1 Ho 0.1796 0.3204 0.0000
Ho2 Ho 0.3204 0.8204 0.0000
Ho3 Ho 0.6796 0.1796 0.0000
Ho4 Ho 0.8204 0.6796 0.0000
In1 In 0.0000 0.0000 0.0000
In2 In 0.5000 0.5000 0.0000
Ga1 Ga 0.1169 0.6169 0.0000
Ga2 Ga 0.3831 0.1169 0.0000
Ga3 Ga 0.6169 0.8831 0.0000
Ga4 Ga 0.8831 0.3831 0.0000
Ni1 Ni 0.0000 0.5000 0.5000
Ni2 Ni 0.0615 0.7830 0.5000
Ni3 Ni 0.2170 0.0615 0.5000
Ni4 Ni 0.2830 0.5615 0.5000
Ni5 Ni 0.4385 0.2830 0.5000
Ni6 Ni 0.5000 0.0000 0.5000
Ni7 Ni 0.5615 0.7170 0.5000
Ni8 Ni 0.7170 0.4385 0.5000
Ni9 Ni 0.7830 0.9385 0.5000
Ni10 Ni 0.9385 0.2170 0.5000
```

Top 10 peaks for 15 to 90 degrees two-theta, by angle:
d 3.572, rel. 9; d 3.002, rel. 12; d 2.733, rel. 21; d 2.446, rel. 25; d 2.300, rel. 100; d 2.237, rel. 10; d 2.120, rel. 32; d 1.786, rel. 16; d 1.411, rel. 15; d 1.369, rel. 8



(2)
Diffraction record for Ho2ZnInGa. The X-ray diffraction stick pattern is calculated, not measured: it uses a DFT-relaxed cell (PBE, Alexandria) and a wavelength of 1.5418 Å.
Intensities are scaled so that the largest is 100.

```
data_Ho2ZnInGa
_chemical_formula_sum 'Ho4 Zn2 In2 Ga2'
_cell_length_a 7.1121
_cell_length_b 4.5115
_cell_length_c 7.5875
_cell_angle_alpha 90.00
_cell_angle_beta 107.50
_cell_angle_gamma 90.00
_space_group_name_H-M_alt 'P 1'
_space_group_IT_number 1
loop_
_space_group_symop_operation_xyz
'x,y,z'
loop_
_atom_site_label
_atom_site_type_symbol
_atom_site_fract_x
_atom_site_fract_y
_atom_site_fract_z
Ho1 Ho 0.1458 0.2500 0.3679
Ho2 Ho 0.3065 0.2500 0.9460
Ho3 Ho 0.6935 0.7500 0.0540
Ho4 Ho 0.8542 0.7500 0.6321
Zn1 Zn 0.0923 0.7500 0.0510
Zn2 Zn 0.9077 0.2500 0.9490
In1 In 0.3295 0.7500 0.6572
In2 In 0.6705 0.2500 0.3428
Ga1 Ga 0.4209 0.7500 0.2930
Ga2 Ga 0.5791 0.2500 0.7070
```

Top 10 peaks for 15 to 90 degrees two-theta, by angle:
d 3.128, rel. 28; d 2.855, rel. 52; d 2.823, rel. 100; d 2.767, rel. 59; d 2.473, rel. 87; d 2.412, rel. 43; d 2.359, rel. 79; d 2.256, rel. 66; d 1.648, rel. 25; d 1.378, rel. 24



(3)
Diffraction record for Ho4GaIr3. The X-ray diffraction stick pattern is calculated, not measured: it uses a DFT-relaxed cell (PBE, Alexandria) and a wavelength of 1.5418 Å.
Intensities are scaled so that the largest is 100.

```
data_Ho4GaIr3
_chemical_formula_sum 'Ho4 Ga1 Ir3'
_cell_length_a 3.8242
_cell_length_b 4.3210
_cell_length_c 10.5494
_cell_angle_alpha 90.00
_cell_angle_beta 90.00
_cell_angle_gamma 90.00
_space_group_name_H-M_alt 'P 1'
_space_group_IT_number 1
loop_
_space_group_symop_operation_xyz
'x,y,z'
loop_
_atom_site_label
_atom_site_type_symbol
_atom_site_fract_x
_atom_site_fract_y
_atom_site_fract_z
Ho1 Ho 0.0000 0.0000 0.0000
Ho2 Ho 0.0000 0.5000 0.2733
Ho3 Ho 0.5000 0.0000 0.4796
Ho4 Ho 0.5000 0.5000 0.7783
Ga1 Ga 0.0000 0.0000 0.7013
Ir1 Ir 0.0000 0.5000 0.5649
Ir2 Ir 0.5000 0.0000 0.2141
Ir3 Ir 0.5000 0.5000 0.0466
```

Top 10 peaks for 15 to 90 degrees two-theta, by angle:
d 2.764, rel. 100; d 2.637, rel. 22; d 2.588, rel. 28; d 2.251, rel. 32; d 2.221, rel. 67; d 2.161, rel. 31; d 1.912, rel. 22; d 1.457, rel. 16; d 1.432, rel. 17; d 1.259, rel. 20



(4)
Diffraction record for Ho2Ga3Ir. The X-ray diffraction stick pattern is calculated, not measured: it uses a DFT-relaxed cell (PBE, Alexandria) and a wavelength of 1.5418 Å.
Intensities are scaled so that the largest is 100.

```
data_Ho2Ga3Ir
_chemical_formula_sum 'Ho4 Ga6 Ir2'
_cell_length_a 10.3684
_cell_length_b 4.3024
_cell_length_c 7.0467
_cell_angle_alpha 90.00
_cell_angle_beta 131.02
_cell_angle_gamma 90.00
_space_group_name_H-M_alt 'P 1'
_space_group_IT_number 1
loop_
_space_group_symop_operation_xyz
'x,y,z'
loop_
_atom_site_label
_atom_site_type_symbol
_atom_site_fract_x
_atom_site_fract_y
_atom_site_fract_z
Ho1 Ho 0.0000 0.0000 0.0000
Ho2 Ho 0.0978 0.0000 0.6100
Ho3 Ho 0.5000 0.5000 0.0000
Ho4 Ho 0.5978 0.5000 0.6100
Ga1 Ga 0.2064 0.5000 0.0060
Ga2 Ga 0.2167 0.5000 0.4174
Ga3 Ga 0.3831 0.0000 0.2185
Ga4 Ga 0.7064 0.0000 0.0060
Ga5 Ga 0.7167 0.0000 0.4174
Ga6 Ga 0.8831 0.5000 0.2185
Ir1 Ir 0.3900 0.0000 0.6158
Ir2 Ir 0.8900 0.5000 0.6158
```

Top 10 peaks for 15 to 90 degrees two-theta, by angle:
d 5.316, rel. 20; d 2.699, rel. 47; d 2.657, rel. 57; d 2.593, rel. 82; d 2.578, rel. 31; d 2.555, rel. 81; d 2.421, rel. 19; d 2.230, rel. 100; d 2.151, rel. 54; d 1.400, rel. 27



(5)
Diffraction record for Ho2Ga4Ir5. The X-ray diffraction stick pattern is calculated, not measured: it uses a DFT-relaxed cell (PBE, Alexandria) and a wavelength of 1.5418 Å.
Intensities are scaled so that the largest is 100.

```
data_Ho2Ga4Ir5
_chemical_formula_sum 'Ho2 Ga4 Ir5'
_cell_length_a 8.9036
_cell_length_b 8.0541
_cell_length_c 5.5118
_cell_angle_alpha 79.63
_cell_angle_beta 62.85
_cell_angle_gamma 37.51
_space_group_name_H-M_alt 'P 1'
_space_group_IT_number 1
loop_
_space_group_symop_operation_xyz
'x,y,z'
loop_
_atom_site_label
_atom_site_type_symbol
_atom_site_fract_x
_atom_site_fract_y
_atom_site_fract_z
Ho1 Ho 0.1173 0.1173 0.8827
Ho2 Ho 0.8827 0.8827 0.1173
Ga1 Ga 0.2128 0.5245 0.4755
Ga2 Ga 0.4755 0.7872 0.2128
Ga3 Ga 0.5245 0.2128 0.7872
Ga4 Ga 0.7872 0.4755 0.5245
Ir1 Ir 0.0000 0.0000 0.5000
Ir2 Ir 0.2500 0.2500 0.2500
Ir3 Ir 0.5000 0.5000 0.0000
Ir4 Ir 0.5000 0.5000 0.5000
Ir5 Ir 0.7500 0.7500 0.7500
```

Top 10 peaks for 15 to 90 degrees two-theta, by angle:
d 2.949, rel. 76; d 2.426, rel. 100; d 2.416, rel. 55; d 2.366, rel. 39; d 2.261, rel. 88; d 2.040, rel. 49; d 2.034, rel. 35; d 1.885, rel. 41; d 1.489, rel. 43; d 1.377, rel. 30



(6)
Diffraction record for Ho2Ga9Ir3. The X-ray diffraction stick pattern is calculated, not measured: it uses a DFT-relaxed cell (PBE, Alexandria) and a wavelength of 1.5418 Å.
Intensities are scaled so that the largest is 100.

```
data_Ho2Ga9Ir3
_chemical_formula_sum 'Ho4 Ga18 Ir6'
_cell_length_a 7.5694
_cell_length_b 7.5694
_cell_length_c 9.4963
_cell_angle_alpha 90.00
_cell_angle_beta 90.00
_cell_angle_gamma 60.17
_space_group_name_H-M_alt 'P 1'
_space_group_IT_number 1
loop_
_space_group_symop_operation_xyz
'x,y,z'
loop_
_atom_site_label
_atom_site_type_symbol
_atom_site_fract_x
_atom_site_fract_y
_atom_site_fract_z
Ho1 Ho 0.0021 0.6695 0.7500
Ho2 Ho 0.3305 0.9979 0.7500
Ho3 Ho 0.6695 0.0021 0.2500
Ho4 Ho 0.9979 0.3305 0.2500
Ga1 Ga 0.0005 0.3346 0.5807
Ga2 Ga 0.0005 0.3346 0.9193
Ga3 Ga 0.9995 0.6654 0.0807
Ga4 Ga 0.9995 0.6654 0.4193
Ga5 Ga 0.1283 0.8717 0.2500
Ga6 Ga 0.3323 0.6677 0.5662
Ga7 Ga 0.3323 0.6677 0.9338
Ga8 Ga 0.3346 0.0005 0.0807
Ga9 Ga 0.3346 0.0005 0.4193
Ga10 Ga 0.3390 0.4531 0.2500
Ga11 Ga 0.4531 0.3390 0.7500
Ga12 Ga 0.5469 0.6610 0.2500
Ga13 Ga 0.6610 0.5469 0.7500
Ga14 Ga 0.6654 0.9995 0.5807
Ga15 Ga 0.6654 0.9995 0.9193
Ga16 Ga 0.6677 0.3323 0.0662
Ga17 Ga 0.6677 0.3323 0.4338
Ga18 Ga 0.8717 0.1283 0.7500
Ir1 Ir 0.0000 0.0000 0.0000
Ir2 Ir 0.0000 0.0000 0.5000
Ir3 Ir 0.3285 0.3285 0.0000
Ir4 Ir 0.3285 0.3285 0.5000
Ir5 Ir 0.6715 0.6715 0.0000
Ir6 Ir 0.6715 0.6715 0.5000
```

Top 10 peaks for 15 to 90 degrees two-theta, by angle:
d 3.788, rel. 27; d 2.961, rel. 89; d 2.429, rel. 100; d 2.374, rel. 31; d 2.189, rel. 89; d 2.183, rel. 43; d 2.012, rel. 41; d 1.758, rel. 25; d 1.609, rel. 31; d 1.460, rel. 30